The following is a simulated XRD peak list of AlZn2NO2. It was derived from a structure optimized by DFT (GGA-PBE), using Cu Ka.
Lines closer than 0.1° are merged.

Main lines, in order of rising 2θ (2θ from 10° to 80°):
2theta, Rel. int., hkl
25.07, 27.6, 1 1 1
31.96, 35.9, 0 2 0
32.21, 47.5, 3 1 0
34.28, 65.7, 0 0 2
36.39, 42.1, 0 2 1
36.61, 100.0, 3 1 1
47.74, 20.1, 3 1 2
57.11, 35.2, 3 3 0
62.91, 35.6, 3 1 3
68.33, 29.3, 3 3 2

Unit cell a=9.6040 b=5.6005 c=5.2321 alpha=90.00 beta=90.00 gamma=90.00
Space group Cmc2_1 (No. 36)
Symmetry-distinct sites (fractional):
Al (0.0000, 0.1597, 0.0000) (multiplicity 4)
Zn (0.1588, 0.3228, 0.4956) (multiplicity 8)
N (0.0000, 0.1431, 0.3551) (multiplicity 4)
O (0.1543, 0.3236, 0.8926) (multiplicity 8)